Diffraction record for BaSr2ZrO5. The powder XRD pattern is calculated, not measured: it uses the GGA-PBE geometry in Alexandria and a wavelength of 1.5418 Å.

Most intense lines, 2θ = 5–70°, sorted by position:
two_theta	Rel. int.	hkl
26.42	8	0 1 3
28.97	25	0 2 0
29.55	16	0 0 4
29.93	100	1 1 2
41.86	26	0 2 4
43.82	15	2 0 0
51.94	24	1 3 2
52.67	10	1 1 6
53.38	9	2 2 0
62.20	15	2 2 4

Structural model:
Lattice parameters (Å, degrees): 4.132 6.165 12.090 90.00 90.00 90.00
Space group Immm (No. 71)
One atom of each set of equivalent atoms:
Ba (0.000, 0.000, 0.000) [2 per cell]
Sr (0.000, 0.500, 0.216) [4 per cell]
Zr (0.000, 0.000, 0.500) [2 per cell]
O (0.000, 0.238, 0.370) [8 per cell]
O (0.000, 0.500, 0.000) [2 per cell]